# Ac2TlIn
Computed powder diffraction line list, CuKα. Input: a crystal structure in the Materials Project, relaxed with GGA-PBE.

Largest 8 diffraction maxima, sorted by position, 10° ≤ 2θ ≤ 80°:
Position (°2θ)  I (rel.)
18.57  3
21.48  3
30.56  100
43.76  19
49.25  2
54.32  41
63.62  13
72.21  18

Structure:
Cell: 5.8506 5.8506 5.8506 Å, 60.00 60.00 60.00°
Fractional positions:
Ac: 0.2500 0.2500 0.2500
Ac: 0.7500 0.7500 0.7500
Tl: 0.0000 0.0000 0.0000
In: 0.5000 0.5000 0.5000

# Ta2S
Computed powder diffraction line list, CuKα. Input: a crystal structure in the Materials Project, relaxed with GGA-PBE.

Largest 8 diffraction maxima, sorted by position, 10° ≤ 2θ ≤ 80°:
Position (°2θ)  I (rel.)
11.56  96
11.95  73
32.31  55
33.88  63
35.49  71
36.42  51
38.47  87
40.67  100

Structure:
Cell: 7.4033 5.6352 15.3146 Å, 90.00 90.00 90.00°
Fractional positions:
Ta: 0.0099 0.1314 0.2500
Ta: 0.0099 0.3686 0.7500
Ta: 0.0942 0.6024 0.5892
Ta: 0.0942 0.6024 0.9108
Ta: 0.0942 0.8976 0.0892
Ta: 0.0942 0.8976 0.4108
Ta: 0.2846 0.1035 0.6550
Ta: 0.2846 0.1035 0.8450
Ta: 0.2846 0.3965 0.1550
Ta: 0.2846 0.3965 0.3450
Ta: 0.3503 0.6281 0.7500
Ta: 0.3503 0.8719 0.2500
Ta: 0.6497 0.1281 0.7500
Ta: 0.6497 0.3719 0.2500
Ta: 0.7154 0.6035 0.6550
Ta: 0.7154 0.6035 0.8450
Ta: 0.7154 0.8965 0.1550
Ta: 0.7154 0.8965 0.3450
Ta: 0.9058 0.1024 0.5892
Ta: 0.9058 0.1024 0.9108
Ta: 0.9058 0.3976 0.0892
Ta: 0.9058 0.3976 0.4108
Ta: 0.9901 0.6314 0.2500
Ta: 0.9901 0.8686 0.7500
S: 0.1803 0.2500 0.0000
S: 0.1803 0.2500 0.5000
S: 0.4115 0.7317 0.5971
S: 0.4115 0.7317 0.9029
S: 0.4115 0.7683 0.0971
S: 0.4115 0.7683 0.4029
S: 0.5885 0.2317 0.5971
S: 0.5885 0.2317 0.9029
S: 0.5885 0.2683 0.0971
S: 0.5885 0.2683 0.4029
S: 0.8197 0.7500 0.0000
S: 0.8197 0.7500 0.5000

# Na4TlAu
Computed powder diffraction line list, CuKα. Input: a crystal structure in the Materials Project, relaxed with GGA-PBE.

Largest 8 diffraction maxima, sorted by position, 10° ≤ 2θ ≤ 80°:
Position (°2θ)  I (rel.)
18.65  59
19.09  100
22.41  35
31.32  40
32.14  40
35.01  48
37.03  32
43.72  38

Structure:
Cell: 12.9263 12.2171 5.7587 Å, 83.74 69.97 26.29°
Fractional positions:
Na: 0.1954 0.5293 0.4707
Na: 0.2055 0.2055 0.7945
Na: 0.3362 0.6638 0.3362
Na: 0.4707 0.8046 0.1954
Na: 0.5293 0.1954 0.8046
Na: 0.6638 0.3362 0.6638
Na: 0.7945 0.7945 0.2055
Na: 0.8046 0.4707 0.5293
Tl: 0.0663 0.0663 0.9337
Tl: 0.9337 0.9337 0.0663
Au: 0.2500 0.2500 0.2500
Au: 0.7500 0.7500 0.7500

# Er2Fe17C3
Computed powder diffraction line list, CuKα. Input: a crystal structure in the Materials Project, relaxed with GGA-PBE.

Largest 8 diffraction maxima, sorted by position, 10° ≤ 2θ ≤ 80°:
Position (°2θ)  I (rel.)
29.81  47
36.17  40
40.44  37
42.01  74
42.34  100
43.32  35
61.17  22
61.93  21

Structure:
Cell: 8.6034 8.6034 8.3540 Å, 90.00 90.00 120.00°
Fractional positions:
Er: 0.0000 0.0000 0.2500
Er: 0.0000 0.0000 0.7500
Er: 0.3333 0.6667 0.2500
Er: 0.6667 0.3333 0.7500
Fe: 0.0000 0.5000 0.0000
Fe: 0.0000 0.5000 0.5000
Fe: 0.0524 0.3786 0.7500
Fe: 0.0524 0.6738 0.7500
Fe: 0.1682 0.3363 0.0201
Fe: 0.1682 0.3363 0.4799
Fe: 0.1682 0.8318 0.0201
Fe: 0.1682 0.8318 0.4799
Fe: 0.3262 0.3786 0.7500
Fe: 0.3262 0.9476 0.7500
Fe: 0.3333 0.6667 0.6070
Fe: 0.3333 0.6667 0.8930
Fe: 0.3363 0.1682 0.5201
Fe: 0.3363 0.1682 0.9799
Fe: 0.3786 0.0524 0.2500
Fe: 0.3786 0.3262 0.2500
Fe: 0.5000 0.0000 0.0000
Fe: 0.5000 0.0000 0.5000
Fe: 0.5000 0.5000 0.0000
Fe: 0.5000 0.5000 0.5000
Fe: 0.6214 0.6738 0.7500
Fe: 0.6214 0.9476 0.7500
Fe: 0.6637 0.8318 0.0201
Fe: 0.6637 0.8318 0.4799
Fe: 0.6667 0.3333 0.1070
Fe: 0.6667 0.3333 0.3930
Fe: 0.6738 0.0524 0.2500
Fe: 0.6738 0.6214 0.2500
Fe: 0.8318 0.1682 0.5201
Fe: 0.8318 0.1682 0.9799
Fe: 0.8318 0.6637 0.5201
Fe: 0.8318 0.6637 0.9799
Fe: 0.9476 0.3262 0.2500
Fe: 0.9476 0.6214 0.2500
C: 0.1655 0.3309 0.2500
C: 0.1655 0.8345 0.2500
C: 0.3309 0.1655 0.7500
C: 0.6691 0.8345 0.2500
C: 0.8345 0.1655 0.7500
C: 0.8345 0.6691 0.7500

# ZnSb2O4
Computed powder diffraction line list, CuKα. Input: a crystal structure in the Materials Project, relaxed with GGA-PBE.

Largest 8 diffraction maxima, sorted by position, 10° ≤ 2θ ≤ 80°:
Position (°2θ)  I (rel.)
16.96  60
24.92  100
27.82  61
29.73  77
30.41  75
32.07  72
34.09  82
34.75  78

Structure:
Cell: 6.4898 6.4898 12.0289 Å, 115.97 115.97 30.39°
Fractional positions:
Zn: 0.1742 0.1742 0.2175
Zn: 0.8258 0.8258 0.7825
Sb: 0.1470 0.1383 0.8407
Sb: 0.3726 0.3961 0.5571
Sb: 0.6039 0.6274 0.4429
Sb: 0.8617 0.8530 0.1593
O: 0.0821 0.0537 0.2996
O: 0.2448 0.2094 0.5746
O: 0.3239 0.3136 0.8624
O: 0.3699 0.3571 0.2598
O: 0.6429 0.6301 0.7402
O: 0.6864 0.6761 0.1376
O: 0.7906 0.7552 0.4254
O: 0.9463 0.9179 0.7004

# Ca11Te2N10
Computed powder diffraction line list, CuKα. Input: a crystal structure in the Materials Project, relaxed with GGA-PBE.

Largest 8 diffraction maxima, sorted by position, 10° ≤ 2θ ≤ 80°:
Position (°2θ)  I (rel.)
11.73  35
13.12  19
24.99  42
30.21  35
31.89  100
34.64  47
40.05  33
50.20  27

Structure:
Cell: 15.0836 15.0836 3.7849 Å, 90.00 90.00 90.00°
Fractional positions:
Ca: 0.0000 0.0000 0.0000
Ca: 0.0222 0.2065 0.5000
Ca: 0.1007 0.6118 0.5000
Ca: 0.1118 0.3993 0.0000
Ca: 0.1902 0.8098 0.0000
Ca: 0.2065 0.0222 0.5000
Ca: 0.2935 0.5222 0.0000
Ca: 0.3098 0.3098 0.5000
Ca: 0.3882 0.8993 0.5000
Ca: 0.3993 0.1118 0.0000
Ca: 0.4778 0.7065 0.0000
Ca: 0.5000 0.5000 0.5000
Ca: 0.5222 0.2935 0.0000
Ca: 0.6007 0.8882 0.0000
Ca: 0.6118 0.1007 0.5000
Ca: 0.6902 0.6902 0.5000
Ca: 0.7065 0.4778 0.0000
Ca: 0.7935 0.9778 0.5000
Ca: 0.8098 0.1902 0.0000
Ca: 0.8882 0.6007 0.0000
Ca: 0.8993 0.3882 0.5000
Ca: 0.9778 0.7935 0.5000
Te: 0.2018 0.2018 0.0000
Te: 0.2982 0.7018 0.5000
Te: 0.7018 0.2982 0.5000
Te: 0.7982 0.7982 0.0000
N: 0.0312 0.6854 0.0000
N: 0.0712 0.9288 0.5000
N: 0.1069 0.1069 0.0000
N: 0.1313 0.8687 0.5000
N: 0.1854 0.4688 0.5000
N: 0.3146 0.9688 0.0000
N: 0.3687 0.3687 0.0000
N: 0.3931 0.6069 0.5000
N: 0.4288 0.4288 0.0000
N: 0.4688 0.1854 0.5000
N: 0.5312 0.8146 0.5000
N: 0.5712 0.5712 0.0000
N: 0.6069 0.3931 0.5000
N: 0.6313 0.6313 0.0000
N: 0.6854 0.0312 0.0000
N: 0.8146 0.5312 0.5000
N: 0.8687 0.1313 0.5000
N: 0.8931 0.8931 0.0000
N: 0.9288 0.0712 0.5000
N: 0.9688 0.3146 0.0000